Record 1
Theoretical PXRD pattern of CdPd2Pt2 for Cu Kα X-rays, from a crystal structure in Alexandria, relaxed with GGA-PBE.
Kinematic intensities with the Lorentz-polarization factor, no thermal factor.

Crystal structure
a b c (Å): 7.533 4.822 4.847
angles (deg): 90.00 110.51 90.00
Space group C2/m (No. 12)
Unique sites:
Cd: 0.000 0.000 0.000 x2
Pd: 0.204 0.000 0.607 x4
Pt: 0.093 0.500 0.788 x4

Main lines, in order of falling intensity (10 to 90 degrees two-theta):
Position (°2θ), intensity, (hkl)
37.33, 100, 0 2 0
41.03, 77, 3 1 -1
41.73, 73, 1 1 -2
53.82, 34, 2 2 1
69.80, 16, 3 3 -1
70.29, 16, 1 3 -2



Record 2
Theoretical PXRD pattern of UTi2Re for Cu Kα X-rays, from a crystal structure in Alexandria, relaxed with GGA-PBE.
Kinematic intensities with the Lorentz-polarization factor, no thermal factor.

Crystal structure
a b c (Å): 3.065 3.065 7.551
angles (deg): 90.00 90.00 90.00
Space group P4/mmm (No. 123)
Unique sites:
U: 0.000 0.000 0.000 x1
Ti: 0.500 0.500 0.296 x2
Re: 0.000 0.000 0.500 x1

Main lines, in order of falling intensity (10 to 90 degrees two-theta):
Position (°2θ), intensity, (hkl)
37.80, 100, 1 0 2
29.13, 41, 1 0 0
41.67, 40, 1 1 0
23.57, 37, 0 0 2
73.49, 29, 2 1 2
48.42, 24, 1 1 2



- Which formula does entry 1 have?
  CdPd2Pt2